Computed powder diffraction line list of CuGe2WO8 for Cu Kα, from the GGA+U geometry in Alexandria.
Peak positions follow from Bragg's law for the DFT cell and can differ from measured ones.

Structural model:
```
CuGe2WO8
1.0
-3.241 3.241 3.169
3.241 -3.241 3.169
3.241 3.241 -3.169
Cu Ge W O
1 2 1 8
Cartesian
0.000 0.000 0.000
0.000 0.000 3.169
0.000 3.241 1.584
3.241 0.000 1.584
1.913 3.241 -1.140
1.328 0.000 2.029
0.000 2.027 0.270
3.241 1.913 1.140
0.000 4.455 0.270
0.000 1.328 4.309
-1.214 3.241 2.899
1.214 3.241 2.899
```

The 10 most intense peaks (2θ = 5–70°), low angle first:
| 2θ (°) | I (rel.) |
| --- | --- |
| 19.37 | 19 |
| 19.59 | 34 |
| 27.52 | 100 |
| 34.41 | 86 |
| 39.32 | 20 |
| 53.22 | 65 |
| 56.82 | 16 |
| 64.27 | 14 |
| 65.59 | 16 |
| 68.14 | 18 |